Record 1
The following is a calculated powder X-ray diffraction pattern of CrFe6Tc. It was derived from DFT lattice parameters and positions (GGA-PBE), using Cu Kα X-rays.

Structural model:
Unit cell a=6.1653 b=6.1653 c=10.0230 alpha=90.00 beta=90.00 gamma=109.01
Sites, in units of the cell vectors:
Cr 0.0000 0.0000 0.2484
Cr 0.0000 0.0000 0.7516
Cr 0.2519 0.7481 0.5000
Cr 0.7481 0.2519 0.5000
Fe 0.0000 0.0000 0.0000
Fe 0.0000 0.0000 0.5000
Fe 0.1206 0.3731 0.3759
Fe 0.1206 0.3731 0.6241
Fe 0.1222 0.3710 0.1273
Fe 0.1222 0.3710 0.8727
Fe 0.2481 0.7519 0.2537
Fe 0.2481 0.7519 0.7463
Fe 0.3710 0.1222 0.1273
Fe 0.3710 0.1222 0.8727
Fe 0.3731 0.1206 0.3759
Fe 0.3731 0.1206 0.6241
Fe 0.5000 0.5000 0.0000
Fe 0.5000 0.5000 0.5000
Fe 0.6269 0.8794 0.3759
Fe 0.6269 0.8794 0.6241
Fe 0.6290 0.8778 0.1273
Fe 0.6290 0.8778 0.8727
Fe 0.7519 0.2481 0.2537
Fe 0.7519 0.2481 0.7463
Fe 0.8778 0.6290 0.1273
Fe 0.8778 0.6290 0.8727
Fe 0.8794 0.6269 0.3759
Fe 0.8794 0.6269 0.6241
Tc 0.2509 0.7491 0.0000
Tc 0.5000 0.5000 0.2491
Tc 0.5000 0.5000 0.7509
Tc 0.7491 0.2509 0.0000

Main lines, by intensity (2θ = 10–90°):
44.09°, rel. 100; 51.54°, rel. 31; 75.46°, rel. 18; 51.02°, rel. 16; 75.81°, rel. 4; 75.95°, rel. 4; 25.11°, rel. 1; 15.20°, rel. 1

Record 2
The following is a calculated powder X-ray diffraction pattern of Cr2FeTe. It was derived from DFT lattice parameters and positions (GGA-PBE), using Cu Kα X-rays.

Structural model:
Unit cell a=3.7909 b=3.7909 c=16.2360 alpha=90.00 beta=90.00 gamma=120.00
Sites, in units of the cell vectors:
Cr 0.0000 0.0000 0.2239
Cr 0.0000 0.0000 0.7761
Cr 0.3333 0.6667 0.4428
Cr 0.3333 0.6667 0.8905
Cr 0.6667 0.3333 0.1095
Cr 0.6667 0.3333 0.5572
Fe 0.0000 0.0000 0.5000
Fe 0.3333 0.6667 0.1667
Fe 0.6667 0.3333 0.8333
Te 0.0000 0.0000 0.0000
Te 0.3333 0.6667 0.6667
Te 0.6667 0.3333 0.3333

Main lines, by intensity (2θ = 10–90°):
35.16°, rel. 100; 48.00°, rel. 47; 39.01°, rel. 21; 60.87°, rel. 19; 53.05°, rel. 18; 27.72°, rel. 17; 81.03°, rel. 16; 29.35°, rel. 14

Record 3
The following is a calculated powder X-ray diffraction pattern of CrFe2Te4. It was derived from DFT lattice parameters and positions (GGA-PBE), using Cu Kα X-rays.

Structural model:
Unit cell a=6.5707 b=3.8608 c=6.8885 alpha=90.00 beta=108.14 gamma=90.00
Sites, in units of the cell vectors:
Cr 0.0000 0.0000 0.0000
Fe 0.0000 0.5000 0.5000
Fe 0.5000 0.0000 0.5000
Te 0.2264 0.0000 0.7209
Te 0.2438 0.5000 0.2626
Te 0.7562 0.5000 0.7374
Te 0.7736 0.0000 0.2791

Main lines, by intensity (2θ = 10–90°):
32.44°, rel. 100; 46.01°, rel. 52; 32.91°, rel. 49; 28.34°, rel. 34; 47.74°, rel. 33; 58.63°, rel. 20; 47.08°, rel. 18; 27.24°, rel. 17